# YAlPt6
Calculated powder XRD pattern, Cu Ka. Input: a crystal structure in Alexandria, relaxed with PBE.
Neutral-atom scattering factors, no anomalous dispersion.

Largest 10 diffraction maxima, low angle first, 2θ from 5° to 70°:
21.92°, I 9.3; 22.33°, I 3.8; 31.20°, I 4.0; 31.50°, I 7.8; 38.71°, I 100.0; 44.70°, I 34.5; 45.58°, I 14.4; 55.71°, I 3.3; 65.07°, I 11.4; 65.75°, I 19.5

Cell and atoms:
a = 4.054 Å, b = 4.054 Å, c = 7.961 Å
α = 90.00°, β = 90.00°, γ = 90.00°
Element x y z (fractional)
Y 0.000 0.000 0.000
Al 0.000 0.000 0.500
Pt 0.000 0.500 0.268
Pt 0.000 0.500 0.732
Pt 0.500 0.000 0.268
Pt 0.500 0.000 0.732
Pt 0.500 0.500 0.000
Pt 0.500 0.500 0.500

# Y8AlPt2
Calculated powder XRD pattern, Cu Ka. Input: a crystal structure in Alexandria, relaxed with PBE.
Neutral-atom scattering factors, no anomalous dispersion.

Largest 10 diffraction maxima, low angle first, 2θ from 5° to 70°:
13.16°, I 55.6; 16.90°, I 90.5; 24.86°, I 71.4; 29.89°, I 76.1; 31.61°, I 63.1; 32.55°, I 73.1; 34.06°, I 59.1; 36.78°, I 48.0; 37.71°, I 100.0; 37.81°, I 89.6

Cell and atoms:
a = 8.028 Å, b = 8.028 Å, c = 5.435 Å
α = 98.23°, β = 98.23°, γ = 113.81°
Element x y z (fractional)
Y 0.000 0.000 0.000
Y 0.058 0.307 0.614
Y 0.144 0.625 0.192
Y 0.307 0.058 0.614
Y 0.461 0.710 0.770
Y 0.625 0.144 0.192
Y 0.710 0.461 0.770
Y 0.768 0.768 0.384
Al 0.384 0.384 0.191
Pt 0.077 0.691 0.692
Pt 0.691 0.077 0.692

# YAl6Pt12
Calculated powder XRD pattern, Cu Ka. Input: a crystal structure in Alexandria, relaxed with PBE.
Neutral-atom scattering factors, no anomalous dispersion.

Largest 10 diffraction maxima, low angle first, 2θ from 5° to 70°:
23.41°, I 37.9; 26.61°, I 20.9; 33.96°, I 100.0; 36.30°, I 54.4; 40.64°, I 23.9; 41.16°, I 20.0; 42.67°, I 45.4; 50.56°, I 44.9; 64.94°, I 16.8; 66.05°, I 27.6

Cell and atoms:
a = 7.238 Å, b = 7.238 Å, c = 7.238 Å
α = 106.60°, β = 106.60°, γ = 106.60°
Element x y z (fractional)
Y 0.000 0.000 0.000
Al 0.276 0.276 0.706
Al 0.276 0.706 0.276
Al 0.294 0.724 0.724
Al 0.706 0.276 0.276
Al 0.724 0.294 0.724
Al 0.724 0.724 0.294
Pt 0.122 0.500 0.878
Pt 0.122 0.878 0.500
Pt 0.150 0.389 0.389
Pt 0.389 0.150 0.389
Pt 0.389 0.389 0.150
Pt 0.500 0.122 0.878
Pt 0.500 0.878 0.122
Pt 0.611 0.611 0.850
Pt 0.611 0.850 0.611
Pt 0.850 0.611 0.611
Pt 0.878 0.122 0.500
Pt 0.878 0.500 0.122

# Y3Al9Pt2
Calculated powder XRD pattern, Cu Ka. Input: a crystal structure in Alexandria, relaxed with PBE.
Neutral-atom scattering factors, no anomalous dispersion.

Largest 10 diffraction maxima, low angle first, 2θ from 5° to 70°:
14.37°, I 46.1; 22.10°, I 33.4; 22.68°, I 19.1; 22.81°, I 37.4; 28.40°, I 37.9; 34.51°, I 31.1; 35.21°, I 100.0; 37.10°, I 33.8; 42.36°, I 19.0; 42.48°, I 25.2

Cell and atoms:
a = 8.238 Å, b = 8.238 Å, c = 8.238 Å
α = 150.06°, β = 104.67°, γ = 83.12°
Element x y z (fractional)
Y 0.000 0.000 0.000
Y 0.311 0.311 0.000
Y 0.689 0.689 0.000
Al 0.030 0.660 0.370
Al 0.155 0.873 0.282
Al 0.291 0.660 0.630
Al 0.409 0.127 0.282
Al 0.500 0.000 0.500
Al 0.591 0.873 0.718
Al 0.709 0.340 0.370
Al 0.845 0.127 0.718
Al 0.970 0.340 0.630
Pt 0.289 0.500 0.789
Pt 0.711 0.500 0.211